Record 1
Diffraction record for NaLiTlS2. The PXRD pattern is simulated, not measured: it uses a DFT-relaxed cell (PBE, Alexandria) and Cu Kα, 1.54184 Å.
Kinematic intensities with the Lorentz-polarization factor, no thermal factor.

Structural model:
```
data_NaLiTlS2
_cell_length_a 14.517
_cell_length_b 4.171
_cell_length_c 8.043
_cell_angle_alpha 90.00
_cell_angle_beta 93.10
_cell_angle_gamma 90.00
_space_group_name_H-M_alt 'C 1 2/m 1'
_space_group_IT_number 12
loop_
_space_group_symop_operation_xyz
'x,y,z'
'-x,-y,-z'
'-x,y,-z'
'x,-y,z'
'x+1/2,y+1/2,z'
'-x+1/2,-y+1/2,-z'
'-x+1/2,y+1/2,-z'
'x+1/2,-y+1/2,z'
loop_
_atom_site_label
_atom_site_fract_x
_atom_site_fract_y
_atom_site_fract_z
Na1 0.204 0.000 0.187
Li1 0.183 0.000 0.566
Tl1 0.038 0.500 0.735
S1 0.143 0.500 0.424
S2 0.147 0.000 0.855
```

Main lines, in order of rising 2θ (10 to 80 degrees two-theta):
two_theta, I_rel, h k l
12.21, 62, 2 0 0
16.02, 24, 2 0 -1
22.16, 100, 0 0 2
24.74, 37, 2 0 -2
28.27, 32, 3 1 0
31.30, 25, 1 1 -2
36.83, 25, 3 1 2
38.98, 24, 5 1 -1



Record 2
Diffraction record for Tb5Nd4Er. The PXRD pattern is simulated, not measured: it uses a DFT-relaxed cell (PBE, Alexandria) and Cu Kα, 1.54184 Å.
Kinematic intensities with the Lorentz-polarization factor, no thermal factor.

Structural model:
```
data_Tb5Nd4Er
_cell_length_a 18.134
_cell_length_b 3.595
_cell_length_c 10.889
_cell_angle_alpha 90.00
_cell_angle_beta 102.54
_cell_angle_gamma 90.00
_space_group_name_H-M_alt 'C 1 2/m 1'
_space_group_IT_number 12
loop_
_space_group_symop_operation_xyz
'x,y,z'
'-x,-y,-z'
'-x,y,-z'
'x,-y,z'
'x+1/2,y+1/2,z'
'-x+1/2,-y+1/2,-z'
'-x+1/2,y+1/2,-z'
'x+1/2,-y+1/2,z'
loop_
_atom_site_label
_atom_site_fract_x
_atom_site_fract_y
_atom_site_fract_z
Tb1 0.000 0.000 0.000
Tb2 0.162 0.500 0.416
Tb3 0.168 0.500 0.025
Nd1 0.022 0.500 0.761
Nd2 0.177 0.000 0.724
Er1 0.000 0.000 0.500
```

Main lines, in order of rising 2θ (10 to 80 degrees two-theta):
two_theta, I_rel, h k l
29.10, 46, 2 0 3
30.30, 65, 6 0 0
31.97, 100, 3 1 -2
33.73, 21, 0 0 4
35.38, 83, 3 1 2
52.55, 20, 9 1 -2
59.37, 20, 9 1 2
60.30, 23, 6 2 0



Record 3
Diffraction record for La2ZnPtAu. The PXRD pattern is simulated, not measured: it uses a DFT-relaxed cell (PBE, Alexandria) and Cu Kα, 1.54184 Å.
Kinematic intensities with the Lorentz-polarization factor, no thermal factor.

Structural model:
```
data_La2ZnPtAu
_cell_length_a 7.499
_cell_length_b 4.532
_cell_length_c 7.764
_cell_angle_alpha 90.00
_cell_angle_beta 110.77
_cell_angle_gamma 90.00
_space_group_name_H-M_alt 'P 1 21/m 1'
_space_group_IT_number 11
loop_
_space_group_symop_operation_xyz
'x,y,z'
'-x,-y,-z'
'-x,y+1/2,-z'
'x,-y+1/2,z'
loop_
_atom_site_label
_atom_site_fract_x
_atom_site_fract_y
_atom_site_fract_z
La1 0.038 0.250 0.204
La2 0.361 0.750 0.630
Zn1 0.344 0.250 0.951
Pt1 0.094 0.250 0.616
Au1 0.335 0.750 0.175
```

Main lines, in order of rising 2θ (10 to 80 degrees two-theta):
two_theta, I_rel, h k l
30.59, 40, 1 1 -2
31.13, 53, 2 1 -1
31.52, 38, 1 0 2
32.28, 100, 2 1 0
34.77, 73, 2 1 -2
37.38, 93, 1 1 2
39.78, 66, 0 2 0
40.13, 42, 1 1 -3



Please write out number 2 again, unchanged.
Diffraction record for Tb5Nd4Er. The PXRD pattern is simulated, not measured: it uses a DFT-relaxed cell (PBE, Alexandria) and Cu Kα, 1.54184 Å.
Kinematic intensities with the Lorentz-polarization factor, no thermal factor.

Structural model:
```
data_Tb5Nd4Er
_cell_length_a 18.134
_cell_length_b 3.595
_cell_length_c 10.889
_cell_angle_alpha 90.00
_cell_angle_beta 102.54
_cell_angle_gamma 90.00
_space_group_name_H-M_alt 'C 1 2/m 1'
_space_group_IT_number 12
loop_
_space_group_symop_operation_xyz
'x,y,z'
'-x,-y,-z'
'-x,y,-z'
'x,-y,z'
'x+1/2,y+1/2,z'
'-x+1/2,-y+1/2,-z'
'-x+1/2,y+1/2,-z'
'x+1/2,-y+1/2,z'
loop_
_atom_site_label
_atom_site_fract_x
_atom_site_fract_y
_atom_site_fract_z
Tb1 0.000 0.000 0.000
Tb2 0.162 0.500 0.416
Tb3 0.168 0.500 0.025
Nd1 0.022 0.500 0.761
Nd2 0.177 0.000 0.724
Er1 0.000 0.000 0.500
```

Main lines, in order of rising 2θ (10 to 80 degrees two-theta):
two_theta, I_rel, h k l
29.10, 46, 2 0 3
30.30, 65, 6 0 0
31.97, 100, 3 1 -2
33.73, 21, 0 0 4
35.38, 83, 3 1 2
52.55, 20, 9 1 -2
59.37, 20, 9 1 2
60.30, 23, 6 2 0